Record 1
The following is a computed XRD peak list of Cd2HF2. It was derived from a structure optimized by DFT (PBE), using copper Kα.
Intensities are scaled so that the largest is 100.

Principal peaks in the range 15 to 90 degrees two-theta, by angle:
h k l, 2θ/deg, d_spacing, Rel. int.
1 0 1, 15.3, 5.791, 100
1 0 3, 28.1, 3.171, 17
2 1 1, 30.2, 2.958, 33
2 0 2, 30.9, 2.896, 44
2 2 0, 36.9, 2.433, 25
2 2 4, 50.7, 1.801, 18

Crystal structure
```
data_Cd2HF2
_cell_length_a 6.882
_cell_length_b 6.882
_cell_length_c 10.720
_cell_angle_alpha 90.00
_cell_angle_beta 90.00
_cell_angle_gamma 90.00
_space_group_name_H-M_alt 'I 41 m d'
_space_group_IT_number 109
_space_group_name_Hall 'I 4bw -2'
loop_
_atom_site_label
_atom_site_type_symbol
_atom_site_fract_x
_atom_site_fract_y
_atom_site_fract_z
Cd1 Cd 0.000 0.249 0.000
H1 H 0.000 0.000 0.680
F1 F 0.000 0.283 0.214
```

=====

Record 2
The following is a computed XRD peak list of CdHNF2. It was derived from a structure optimized by DFT (PBE), using copper Kα.
Intensities are scaled so that the largest is 100.

Principal peaks in the range 15 to 90 degrees two-theta, by angle:
h k l, 2θ/deg, d_spacing, Rel. int.
1 0 0, 21.0, 4.238, 100
1 1 0, 29.8, 2.997, 36
1 0 1, 38.7, 2.327, 46
2 0 0, 42.7, 2.119, 45
1 1 1, 44.4, 2.040, 77
2 1 1, 59.0, 1.567, 26

Crystal structure
```
data_CdHNF2
_cell_length_a 4.238
_cell_length_b 4.238
_cell_length_c 2.784
_cell_angle_alpha 90.00
_cell_angle_beta 90.00
_cell_angle_gamma 90.00
_space_group_name_H-M_alt 'P 4/m m m'
_space_group_IT_number 123
_space_group_name_Hall '-P 4 2'
loop_
_atom_site_label
_atom_site_type_symbol
_atom_site_fract_x
_atom_site_fract_y
_atom_site_fract_z
Cd1 Cd 0.000 0.000 0.000
H1 H 0.500 0.500 0.500
N1 N 0.500 0.500 0.000
F1 F 0.000 0.500 0.500
```